Structure and calculated powder XRD pattern of Nd2MnCdO6 (DFT lattice parameters and positions (GGA+U); Cu Ka).
Peak positions follow from Bragg's law for the DFT cell and can differ from measured ones.

Main lines, sorted by position (2θ = 15–90°):
Position (°2θ)  d (Å)  intensity  hkl
24.68  3.608  28  1 1 0
30.30  2.950  40  0 2 0
31.41  2.848  100  1 1 1
31.51  2.839  99  1 1 -3
32.29  2.773  64  2 0 -2
44.85  2.021  36  2 2 -2
50.54  1.806  29  1 3 0
56.91  1.618  35  2 0 -6

Structure:
```
data_Nd2MnCdO6
_chemical_formula_sum 'Nd4 Mn2 Cd2 O12'
_symmetry_space_group_name_H-M 'P 1 21/c 1'
_symmetry_Int_Tables_number 14
_symmetry_space_group_name_Hall '-P 2ybc'
_cell_length_a 5.549
_cell_length_b 5.900
_cell_length_c 9.717
_cell_angle_alpha 90.00
_cell_angle_beta 124.56
_cell_angle_gamma 90.00
loop_
_atom_site_label
_atom_site_fract_x
_atom_site_fract_y
_atom_site_fract_z
Nd1 0.228 0.065 0.247
Mn1 0.500 0.000 0.000
Cd1 0.000 0.000 0.500
O1 0.163 0.176 0.948
O2 0.261 0.722 0.932
O3 0.388 0.049 0.773
```